Entry 1:
Structure and theoretical powder diffractogram of Mg4Si7 (a PBE-relaxed structure; Cu Kα (λ = 1.5418 Å)).
Neutral-atom scattering factors, no anomalous dispersion.

Top 10 peaks for 2θ = 10–80°, sorted by position:
| d [Å] | intensity | h k l |
| --- | --- | --- |
| 2.660 | 40 | -1 2 1 |
| 2.637 | 38 | 1 2 0 |
| 2.526 | 46 | 0 2 -4 |
| 2.469 | 27 | 1 -2 2 |
| 2.317 | 36 | -1 1 5 |
| 2.312 | 31 | 1 1 4 |
| 2.240 | 29 | 0 3 1 |
| 2.176 | 51 | 1 0 -6 |
| 2.126 | 100 | 2 0 -1 |
| 2.108 | 32 | 0 3 -3 |

Atomic structure:
Unit cell a=4.253 b=6.887 c=14.112 alpha=93.49 beta=98.50 gamma=90.58
Space group P1 (No. 1)
Unique sites:
Mg 0.000 0.000 0.000 (multiplicity 1)
Mg 0.033 0.539 0.076 (multiplicity 1)
Mg 0.175 0.070 0.373 (multiplicity 1)
Mg 0.242 0.579 0.503 (multiplicity 1)
Mg 0.304 0.079 0.595 (multiplicity 1)
Mg 0.370 0.472 0.751 (multiplicity 1)
Mg 0.418 0.977 0.821 (multiplicity 1)
Mg 0.837 0.774 0.673 (multiplicity 1)
Si 0.098 0.248 0.205 (multiplicity 1)
Si 0.102 0.844 0.212 (multiplicity 1)
Si 0.142 0.553 0.298 (multiplicity 1)
Si 0.478 0.327 0.965 (multiplicity 1)
Si 0.479 0.690 0.961 (multiplicity 1)
Si 0.557 0.200 0.122 (multiplicity 1)
Si 0.559 0.846 0.124 (multiplicity 1)
Si 0.657 0.736 0.325 (multiplicity 1)
Si 0.718 0.235 0.460 (multiplicity 1)
Si 0.747 0.882 0.489 (multiplicity 1)
Si 0.789 0.397 0.613 (multiplicity 1)
Si 0.878 0.158 0.729 (multiplicity 1)
Si 0.932 0.685 0.864 (multiplicity 1)
Si 0.938 0.330 0.883 (multiplicity 1)

Entry 2:
Structure and theoretical powder diffractogram of Mg4Si3 (a PBE-relaxed structure; Cu Kα (λ = 1.5418 Å)).
Neutral-atom scattering factors, no anomalous dispersion.

Top 10 peaks for 2θ = 10–80°, sorted by position:
| d [Å] | intensity | h k l |
| --- | --- | --- |
| 3.082 | 55 | 1 0 -1 |
| 3.043 | 58 | 1 -1 0 |
| 2.647 | 100 | 1 1 2 |
| 2.595 | 46 | 0 1 -2 |
| 2.478 | 90 | 1 2 0 |
| 2.189 | 75 | 1 0 -2 |
| 2.150 | 69 | 2 0 1 |
| 2.099 | 41 | 1 2 2 |
| 2.080 | 44 | 2 1 0 |
| 2.048 | 48 | 1 -2 1 |

Atomic structure:
Unit cell a=4.405 b=5.491 c=6.229 alpha=85.67 beta=74.72 gamma=78.73
Space group P-1 (No. 2)
Unique sites:
Mg 0.093 0.232 0.375 (multiplicity 2)
Mg 0.265 0.171 0.847 (multiplicity 2)
Si 0.359 0.662 0.903 (multiplicity 2)
Si 0.500 0.500 0.500 (multiplicity 1)

Entry 3:
Structure and theoretical powder diffractogram of Mg3Si4 (a PBE-relaxed structure; Cu Kα (λ = 1.5418 Å)).
Neutral-atom scattering factors, no anomalous dispersion.

Top 10 peaks for 2θ = 10–80°, sorted by position:
| d [Å] | intensity | h k l |
| --- | --- | --- |
| 2.715 | 13 | 2 0 0 |
| 2.549 | 100 | -1 1 2 |
| 2.533 | 43 | 1 2 -2 |
| 2.402 | 37 | 1 2 0 |
| 2.389 | 20 | 2 -2 1 |
| 2.315 | 39 | 1 -3 1 |
| 2.309 | 24 | 0 2 -3 |
| 2.255 | 19 | 2 1 -2 |
| 2.240 | 13 | 0 3 -2 |
| 1.933 | 15 | 2 1 1 |

Atomic structure:
Unit cell a=5.729 b=7.072 c=7.272 alpha=113.11 beta=96.67 gamma=103.14
Space group P1 (No. 1)
Unique sites:
Mg 0.000 0.000 0.000 (multiplicity 1)
Mg 0.015 0.416 0.324 (multiplicity 1)
Mg 0.295 0.842 0.310 (multiplicity 1)
Mg 0.386 0.688 0.846 (multiplicity 1)
Mg 0.477 0.144 0.788 (multiplicity 1)
Mg 0.909 0.099 0.509 (multiplicity 1)
Si 0.043 0.783 0.613 (multiplicity 1)
Si 0.105 0.392 0.954 (multiplicity 1)
Si 0.377 0.280 0.473 (multiplicity 1)
Si 0.505 0.481 0.200 (multiplicity 1)
Si 0.557 0.129 0.178 (multiplicity 1)
Si 0.619 0.762 0.562 (multiplicity 1)
Si 0.796 0.490 0.695 (multiplicity 1)
Si 0.836 0.633 0.063 (multiplicity 1)

Entry 4:
Structure and theoretical powder diffractogram of Mg5Si6 (a PBE-relaxed structure; Cu Kα (λ = 1.5418 Å)).
Neutral-atom scattering factors, no anomalous dispersion.

Top 10 peaks for 2θ = 10–80°, sorted by position:
| d [Å] | intensity | h k l |
| --- | --- | --- |
| 2.636 | 15 | 3 1 1 |
| 2.416 | 100 | 5 1 -1 |
| 2.399 | 20 | 5 1 0 |
| 2.389 | 97 | 1 1 2 |
| 2.173 | 21 | 6 0 1 |
| 2.161 | 14 | 0 0 3 |
| 2.129 | 34 | 4 0 -3 |
| 1.958 | 40 | 0 2 0 |
| 1.896 | 18 | 8 0 0 |
| 1.441 | 19 | 4 2 -3 |

Atomic structure:
Unit cell a=15.705 b=3.916 c=6.711 alpha=90.00 beta=104.99 gamma=90.00
Space group C2/m (No. 12)
Unique sites:
Mg 0.000 0.000 0.000 (multiplicity 2)
Mg 0.093 0.000 0.434 (multiplicity 4)
Mg 0.173 0.000 0.938 (multiplicity 4)
Si 0.045 0.500 0.692 (multiplicity 4)
Si 0.189 0.500 0.267 (multiplicity 4)
Si 0.206 0.500 0.658 (multiplicity 4)

Entry 5:
Structure and theoretical powder diffractogram of Mg3Si4 (a PBE-relaxed structure; Cu Kα (λ = 1.5418 Å)).
Neutral-atom scattering factors, no anomalous dispersion.

Top 10 peaks for 2θ = 10–80°, sorted by position:
| d [Å] | intensity | h k l |
| --- | --- | --- |
| 2.708 | 100 | 1 2 1 |
| 2.678 | 99 | 1 -2 0 |
| 2.385 | 70 | 0 1 4 |
| 2.265 | 61 | -1 1 3 |
| 2.243 | 73 | 0 3 -1 |
| 2.076 | 46 | 1 1 -3 |
| 2.001 | 49 | 1 -1 4 |
| 1.962 | 59 | 2 0 1 |
| 1.943 | 44 | 1 3 3 |
| 1.882 | 44 | 0 3 4 |

Atomic structure:
Unit cell a=3.928 b=7.402 c=9.758 alpha=78.90 beta=80.57 gamma=89.39
Space group P1 (No. 1)
Unique sites:
Mg 0.000 0.000 0.000 (multiplicity 1)
Mg 0.004 0.305 0.741 (multiplicity 1)
Mg 0.102 0.894 0.597 (multiplicity 1)
Mg 0.134 0.454 0.410 (multiplicity 1)
Mg 0.468 0.640 0.852 (multiplicity 1)
Mg 0.690 0.186 0.278 (multiplicity 1)
Si 0.174 0.928 0.292 (multiplicity 1)
Si 0.309 0.449 0.133 (multiplicity 1)
Si 0.513 0.751 0.140 (multiplicity 1)
Si 0.535 0.011 0.776 (multiplicity 1)
Si 0.548 0.540 0.597 (multiplicity 1)
Si 0.584 0.220 0.553 (multiplicity 1)
Si 0.653 0.751 0.377 (multiplicity 1)
Si 0.873 0.379 0.003 (multiplicity 1)

Entry 6:
Structure and theoretical powder diffractogram of Mg5Si6 (a PBE-relaxed structure; Cu Kα (λ = 1.5418 Å)).
Neutral-atom scattering factors, no anomalous dispersion.

Top 10 peaks for 2θ = 10–80°, sorted by position:
| d [Å] | intensity | h k l |
| --- | --- | --- |
| 7.602 | 29 | 0 4 0 |
| 2.543 | 37 | 1 10 0 |
| 2.483 | 31 | 0 11 1 |
| 2.459 | 86 | 1 9 1 |
| 2.383 | 78 | 1 2 2 |
| 2.319 | 100 | 2 0 0 |
| 2.300 | 69 | 1 4 2 |
| 2.224 | 45 | 1 12 0 |
| 2.070 | 18 | 0 10 2 |
| 1.695 | 18 | 2 11 1 |

Atomic structure:
Unit cell a=4.639 b=30.408 c=5.650 alpha=90.00 beta=90.00 gamma=90.00
Space group Ama2 (No. 40)
Unique sites:
Mg 0.250 0.055 0.000 (multiplicity 4)
Mg 0.250 0.071 0.498 (multiplicity 4)
Mg 0.250 0.152 0.881 (multiplicity 4)
Mg 0.250 0.195 0.383 (multiplicity 4)
Mg 0.250 0.379 0.741 (multiplicity 4)
Si 0.250 0.247 0.941 (multiplicity 4)
Si 0.250 0.284 0.553 (multiplicity 4)
Si 0.250 0.316 0.153 (multiplicity 4)
Si 0.250 0.402 0.251 (multiplicity 4)
Si 0.250 0.478 0.773 (multiplicity 4)
Si 0.250 0.483 0.205 (multiplicity 4)

Entry 7:
Structure and theoretical powder diffractogram of Mg2Si3 (a PBE-relaxed structure; Cu Kα (λ = 1.5418 Å)).
Neutral-atom scattering factors, no anomalous dispersion.

Top 10 peaks for 2θ = 10–80°, sorted by position:
| d [Å] | intensity | h k l |
| --- | --- | --- |
| 5.626 | 38 | 0 1 1 |
| 2.996 | 34 | 1 0 4 |
| 2.691 | 54 | 0 2 -2 |
| 2.501 | 34 | 1 -1 4 |
| 2.482 | 100 | 0 2 4 |
| 2.431 | 58 | 1 2 -1 |
| 2.424 | 100 | 1 0 -5 |
| 2.390 | 66 | 1 0 6 |
| 2.103 | 57 | 1 -2 2 |
| 1.929 | 49 | 2 0 1 |

Atomic structure:
Unit cell a=3.906 b=5.900 c=17.085 alpha=85.01 beta=83.64 gamma=81.07
Space group P-1 (No. 2)
Unique sites:
Mg 0.030 0.218 0.035 (multiplicity 2)
Mg 0.138 0.565 0.809 (multiplicity 2)
Mg 0.219 0.957 0.659 (multiplicity 2)
Mg 0.228 0.269 0.467 (multiplicity 2)
Si 0.030 0.950 0.188 (multiplicity 2)
Si 0.215 0.648 0.289 (multiplicity 2)
Si 0.272 0.503 0.641 (multiplicity 2)
Si 0.305 0.792 0.420 (multiplicity 2)
Si 0.416 0.108 0.894 (multiplicity 2)
Si 0.439 0.528 0.072 (multiplicity 2)

Entry 8:
Structure and theoretical powder diffractogram of Mg5Si6 (a PBE-relaxed structure; Cu Kα (λ = 1.5418 Å)).
Neutral-atom scattering factors, no anomalous dispersion.

Top 10 peaks for 2θ = 10–80°, sorted by position:
| d [Å] | intensity | h k l |
| --- | --- | --- |
| 2.645 | 73 | 7 1 1 |
| 2.602 | 47 | 1 1 2 |
| 2.558 | 45 | 3 1 -2 |
| 2.536 | 29 | 9 1 0 |
| 2.430 | 39 | 5 1 -2 |
| 2.412 | 100 | 9 1 -1 |
| 2.357 | 69 | 5 1 2 |
| 2.222 | 59 | 4 0 -3 |
| 2.155 | 35 | 4 0 3 |
| 2.027 | 92 | 0 2 0 |

Atomic structure:
Unit cell a=29.303 b=4.054 c=6.885 alpha=90.00 beta=93.05 gamma=90.00
Space group Cm (No. 8)
Unique sites:
Mg 0.000 0.000 0.000 (multiplicity 2)
Mg 0.031 0.500 0.320 (multiplicity 2)
Mg 0.070 0.500 0.823 (multiplicity 2)
Mg 0.163 0.000 0.834 (multiplicity 2)
Mg 0.200 0.000 0.353 (multiplicity 2)
Mg 0.236 0.500 0.668 (multiplicity 2)
Mg 0.278 0.000 0.004 (multiplicity 2)
Mg 0.317 0.000 0.509 (multiplicity 2)
Mg 0.359 0.500 0.186 (multiplicity 2)
Mg 0.458 0.000 0.706 (multiplicity 2)
Si 0.017 0.000 0.614 (multiplicity 2)
Si 0.091 0.000 0.125 (multiplicity 2)
Si 0.093 0.000 0.499 (multiplicity 2)
Si 0.138 0.500 0.173 (multiplicity 2)
Si 0.142 0.500 0.539 (multiplicity 2)
Si 0.213 0.500 0.045 (multiplicity 2)
Si 0.270 0.500 0.301 (multiplicity 2)
Si 0.326 0.500 0.808 (multiplicity 2)
Si 0.375 0.000 0.888 (multiplicity 2)
Si 0.391 0.500 0.596 (multiplicity 2)
Si 0.408 0.000 0.362 (multiplicity 2)
Si 0.461 0.500 0.340 (multiplicity 2)

Entry 9:
Structure and theoretical powder diffractogram of Mg3Si4 (a PBE-relaxed structure; Cu Kα (λ = 1.5418 Å)).
Neutral-atom scattering factors, no anomalous dispersion.

Top 10 peaks for 2θ = 10–80°, sorted by position:
| d [Å] | intensity | h k l |
| --- | --- | --- |
| 4.750 | 28 | 1 0 0 |
| 2.490 | 40 | 1 -2 2 |
| 2.451 | 100 | 2 0 -2 |
| 2.416 | 54 | 0 0 3 |
| 2.409 | 52 | 2 -2 0 |
| 2.319 | 27 | -1 1 3 |
| 2.286 | 34 | 1 -3 1 |
| 2.222 | 37 | 0 3 -1 |
| 2.042 | 36 | 2 0 1 |
| 1.788 | 28 | 1 2 -4 |

Atomic structure:
Unit cell a=5.406 b=7.036 c=7.921 alpha=99.33 beta=107.37 gamma=108.63
Space group P-1 (No. 2)
Unique sites:
Mg 0.030 0.347 0.279 (multiplicity 2)
Mg 0.113 0.879 0.323 (multiplicity 2)
Mg 0.362 0.156 0.042 (multiplicity 2)
Si 0.214 0.482 0.989 (multiplicity 2)
Si 0.350 0.997 0.703 (multiplicity 2)
Si 0.423 0.689 0.574 (multiplicity 2)
Si 0.437 0.372 0.695 (multiplicity 2)

Entry 10:
Structure and theoretical powder diffractogram of Mg5Si6 (a PBE-relaxed structure; Cu Kα (λ = 1.5418 Å)).
Neutral-atom scattering factors, no anomalous dispersion.

Top 10 peaks for 2θ = 10–80°, sorted by position:
| d [Å] | intensity | h k l |
| --- | --- | --- |
| 2.581 | 100 | 1 1 2 |
| 2.524 | 44 | 7 1 1 |
| 2.466 | 82 | 9 1 -1 |
| 2.438 | 22 | 10 0 1 |
| 2.372 | 42 | 7 1 -2 |
| 2.233 | 17 | 6 0 -3 |
| 2.227 | 17 | 9 1 1 |
| 2.171 | 27 | 11 1 0 |
| 2.115 | 16 | 8 0 -3 |
| 2.053 | 78 | 0 2 0 |

Atomic structure:
Unit cell a=28.705 b=4.106 c=6.984 alpha=90.00 beta=101.45 gamma=90.00
Space group Cm (No. 8)
Unique sites:
Mg 0.000 0.000 0.000 (multiplicity 2)
Mg 0.018 0.500 0.683 (multiplicity 2)
Mg 0.135 0.000 0.420 (multiplicity 2)
Mg 0.178 0.000 0.940 (multiplicity 2)
Mg 0.214 0.500 0.659 (multiplicity 2)
Mg 0.253 0.000 0.378 (multiplicity 2)
Mg 0.292 0.000 0.906 (multiplicity 2)
Mg 0.384 0.500 0.986 (multiplicity 2)
Mg 0.429 0.500 0.549 (multiplicity 2)
Mg 0.456 0.000 0.243 (multiplicity 2)
Si 0.016 0.000 0.395 (multiplicity 2)
Si 0.063 0.500 0.371 (multiplicity 2)
Si 0.084 0.000 0.870 (multiplicity 2)
Si 0.102 0.500 0.090 (multiplicity 2)
Si 0.117 0.500 0.700 (multiplicity 2)
Si 0.184 0.500 0.260 (multiplicity 2)
Si 0.242 0.500 0.057 (multiplicity 2)
Si 0.311 0.500 0.629 (multiplicity 2)
Si 0.317 0.500 0.271 (multiplicity 2)
Si 0.362 0.000 0.642 (multiplicity 2)
Si 0.366 0.000 0.290 (multiplicity 2)
Si 0.440 0.000 0.847 (multiplicity 2)

Entry 11:
Structure and theoretical powder diffractogram of Mg4Si3 (a PBE-relaxed structure; Cu Kα (λ = 1.5418 Å)).
Neutral-atom scattering factors, no anomalous dispersion.

Top 10 peaks for 2θ = 10–80°, sorted by position:
| d [Å] | intensity | h k l |
| --- | --- | --- |
| 2.604 | 61 | -1 1 4 |
| 2.589 | 100 | 2 1 3 |
| 2.555 | 41 | 1 0 5 |
| 2.539 | 31 | 1 2 -3 |
| 2.532 | 42 | 2 0 -3 |
| 2.521 | 54 | 0 1 -5 |
| 2.511 | 45 | 1 -2 1 |
| 2.385 | 32 | 2 2 2 |
| 2.350 | 46 | 1 2 4 |
| 2.331 | 58 | 2 2 -2 |

Atomic structure:
Unit cell a=6.319 b=6.446 c=13.901 alpha=88.49 beta=88.36 gamma=76.35
Space group P1 (No. 1)
Unique sites:
Mg 0.000 0.000 0.000 (multiplicity 1)
Mg 0.016 0.770 0.301 (multiplicity 1)
Mg 0.071 0.535 0.687 (multiplicity 1)
Mg 0.091 0.284 0.271 (multiplicity 1)
Mg 0.101 0.445 0.030 (multiplicity 1)
Mg 0.241 0.090 0.780 (multiplicity 1)
Mg 0.334 0.917 0.155 (multiplicity 1)
Mg 0.404 0.625 0.482 (multiplicity 1)
Mg 0.421 0.179 0.574 (multiplicity 1)
Mg 0.521 0.989 0.962 (multiplicity 1)
Mg 0.551 0.677 0.703 (multiplicity 1)
Mg 0.581 0.504 0.020 (multiplicity 1)
Mg 0.700 0.157 0.183 (multiplicity 1)
Mg 0.717 0.240 0.393 (multiplicity 1)
Mg 0.790 0.077 0.713 (multiplicity 1)
Mg 0.813 0.816 0.514 (multiplicity 1)
Si 0.084 0.410 0.465 (multiplicity 1)
Si 0.144 0.021 0.447 (multiplicity 1)
Si 0.166 0.898 0.616 (multiplicity 1)
Si 0.268 0.709 0.875 (multiplicity 1)
Si 0.341 0.504 0.186 (multiplicity 1)
Si 0.481 0.352 0.842 (multiplicity 1)
Si 0.489 0.947 0.350 (multiplicity 1)
Si 0.632 0.598 0.273 (multiplicity 1)
Si 0.768 0.403 0.568 (multiplicity 1)
Si 0.783 0.747 0.123 (multiplicity 1)
Si 0.867 0.353 0.861 (multiplicity 1)
Si 0.877 0.732 0.857 (multiplicity 1)